Structure and theoretical powder diffraction line list of Fe6CuP4H16O28 (the GGA+U geometry in the Materials Project; Cu Kα (weighted mean of Kα1 and Kα2)).
No peak broadening, texture or thermal motion is included.

Peak list (10 most intense, 2θ from 15° to 90°, low angle first)
2theta  I_rel
17.73  21.1
23.25  100.0
24.88  37.4
25.89  68.9
29.23  83.5
30.05  41.1
37.18  23.1
39.22  21.3
41.59  36.6
42.72  20.8

Structural model:
```
Fe6CuP4H16O28
1.0
7.7839 0.0000 0.0000
-3.3164 7.2532 0.0000
-0.3605 -4.5270 9.2797
Fe Cu P H O
6 1 4 16 28
direct
0.2168 0.4368 0.2540 Fe
0.2538 0.2426 0.7416 Fe
0.2592 0.0406 0.2244 Fe
0.7408 0.9594 0.7756 Fe
0.7462 0.7574 0.2584 Fe
0.7832 0.5632 0.7460 Fe
0.5000 0.5000 0.5000 Cu
0.1530 0.8319 0.4485 P
0.3399 0.6541 0.0359 P
0.6601 0.3459 0.9641 P
0.8470 0.1681 0.5515 P
0.0756 0.2238 0.9317 H
0.0909 0.9069 0.8315 H
0.1461 0.7839 0.9044 H
0.1584 0.2760 0.4534 H
0.3376 0.2284 0.0489 H
0.3446 0.8185 0.6819 H
0.3698 0.6892 0.7616 H
0.4828 0.2407 0.5761 H
0.5172 0.7593 0.4239 H
0.6302 0.3108 0.2384 H
0.6554 0.1815 0.3181 H
0.6624 0.7716 0.9511 H
0.8416 0.7240 0.5466 H
0.8539 0.2161 0.0956 H
0.9091 0.0931 0.1685 H
0.9244 0.7762 0.0683 H
0.0385 0.1146 0.8327 O
0.0655 0.2286 0.5940 O
0.0771 0.7693 0.8139 O
0.1768 0.6379 0.4112 O
0.2042 0.5116 0.0969 O
0.2281 0.9637 0.6141 O
0.2418 0.2992 0.3838 O
0.2668 0.2088 0.1236 O
0.2820 0.9576 0.3743 O
0.2830 0.8279 0.0572 O
0.3053 0.5326 0.8701 O
0.4299 0.7648 0.7045 O
0.4441 0.2532 0.8918 O
0.4836 0.3687 0.6426 O
0.5164 0.6313 0.3574 O
0.5559 0.7468 0.1082 O
0.5701 0.2352 0.2955 O
0.6947 0.4674 0.1299 O
0.7170 0.1721 0.9428 O
0.7180 0.0424 0.6257 O
0.7332 0.7912 0.8764 O
0.7582 0.7008 0.6162 O
0.7719 0.0363 0.3859 O
0.7958 0.4884 0.9031 O
0.8232 0.3621 0.5888 O
0.9229 0.2307 0.1861 O
0.9345 0.7714 0.4060 O
0.9615 0.8854 0.1673 O
```

***

Structure and theoretical powder diffraction line list of Sr2La6FeCu7O20 (the GGA+U geometry in the Materials Project; Cu Kα (weighted mean of Kα1 and Kα2)).
No peak broadening, texture or thermal motion is included.

Peak list (10 most intense, 2θ from 15° to 90°, low angle first)
2theta  I_rel
32.57  100.0
33.34  50.1
40.50  14.1
45.58  19.4
47.86  20.2
57.60  10.1
57.66  10.5
59.03  12.4
59.16  13.7
68.23  12.9

Structural model:
```
Sr2La6FeCu7O20
1.0
10.7360 0.0000 0.0000
0.0000 3.9804 0.0000
-0.0033 0.0000 10.7665
Sr La Fe Cu O
2 6 1 7 20
direct
0.0000 0.0000 0.0000 Sr
0.4526 0.0000 0.4883 Sr
0.2186 0.0000 0.2651 La
0.2230 0.0000 0.7649 La
0.4964 0.0000 0.9915 La
0.7196 0.0000 0.7130 La
0.7418 0.0000 0.2101 La
0.9524 0.0000 0.4828 La
0.4751 0.5000 0.7384 Fe
0.2001 0.5000 0.5189 Cu
0.2520 0.5000 0.0176 Cu
0.4714 0.5000 0.2374 Cu
0.7009 0.5000 0.4656 Cu
0.7489 0.5000 0.9646 Cu
0.9762 0.5000 0.2417 Cu
0.9776 0.5000 0.7375 Cu
0.0671 0.5000 0.4053 O
0.1068 0.5000 0.8570 O
0.1381 0.5000 0.1504 O
0.1945 0.0000 0.5203 O
0.2558 0.0000 0.0185 O
0.3118 0.5000 0.6555 O
0.3430 0.5000 0.3572 O
0.3899 0.5000 0.9066 O
0.4720 0.0000 0.2336 O
0.4754 0.0000 0.7514 O
0.5718 0.5000 0.5851 O
0.5983 0.5000 0.1159 O
0.6432 0.5000 0.8247 O
0.7067 0.0000 0.4653 O
0.7438 0.0000 0.9642 O
0.8132 0.5000 0.3331 O
0.8519 0.5000 0.6154 O
0.8703 0.5000 0.0896 O
0.9765 0.0000 0.2468 O
0.9763 0.0000 0.7335 O
```

***

Structure and theoretical powder diffraction line list of LaZnFeCuO6 (the GGA+U geometry in the Materials Project; Cu Kα (weighted mean of Kα1 and Kα2)).
No peak broadening, texture or thermal motion is included.

Peak list (10 most intense, 2θ from 15° to 90°, low angle first)
2theta  I_rel
32.41  100.0
32.96  40.1
33.30  87.3
34.28  35.4
40.29  16.2
45.99  26.3
48.29  43.6
57.74  21.5
59.64  20.0
61.31  18.4

Structural model:
```
LaZnFeCuO6
1.0
5.2360 0.0000 0.0000
0.0000 5.4344 0.0000
-4.9460 0.0000 7.8931
La Zn Fe Cu O
2 2 2 2 12
direct
0.0000 0.2142 0.0000 La
0.0000 0.7858 0.5000 La
0.5478 0.2950 0.5055 Zn
0.5478 0.7050 0.0055 Zn
0.2676 0.2546 0.7493 Fe
0.2676 0.7454 0.2493 Fe
0.7584 0.2514 0.2511 Cu
0.7584 0.7486 0.7511 Cu
0.1767 0.2305 0.5187 O
0.1767 0.7695 0.0187 O
0.4323 0.2932 0.9897 O
0.4323 0.7068 0.4897 O
0.5326 0.0502 0.3182 O
0.5326 0.9498 0.8182 O
0.5996 0.4962 0.8171 O
0.5996 0.5038 0.3171 O
0.8996 0.0422 0.6972 O
0.8996 0.9578 0.1972 O
0.9602 0.4886 0.1927 O
0.9602 0.5114 0.6927 O
```

***

Structure and theoretical powder diffraction line list of Li4Mn2Fe3Cu3O16 (the GGA+U geometry in the Materials Project; Cu Kα (weighted mean of Kα1 and Kα2)).
No peak broadening, texture or thermal motion is included.

Peak list (10 most intense, 2θ from 15° to 90°, low angle first)
2theta  I_rel
18.84  61.6
19.87  100.0
25.81  32.4
33.56  34.4
36.11  48.1
36.67  49.9
40.36  31.7
45.97  54.2
61.26  36.5
63.55  26.2

Structural model:
```
Li4Mn2Fe3Cu3O16
1.0
5.0684 -2.9330 0.0000
5.0684 2.9330 0.0000
-0.0265 0.0000 9.4206
Li Mn Fe Cu O
4 2 3 3 16
direct
0.0000 0.0000 0.0000 Li
0.0061 0.0061 0.4971 Li
0.3472 0.3472 0.5920 Li
0.6762 0.6762 0.0940 Li
0.3391 0.3391 0.0063 Mn
0.6759 0.6759 0.5062 Mn
0.1770 0.1770 0.2780 Fe
0.3480 0.8377 0.7783 Fe
0.8377 0.3480 0.7783 Fe
0.1783 0.6662 0.2786 Cu
0.6662 0.1783 0.2786 Cu
0.8370 0.8370 0.7796 Cu
0.0005 0.0005 0.1899 O
0.0020 0.0020 0.6868 O
0.0472 0.4866 0.1428 O
0.1756 0.1756 0.8952 O
0.1835 0.6679 0.8972 O
0.3467 0.3467 0.3833 O
0.3468 0.8433 0.3958 O
0.4864 0.4864 0.1422 O
0.4866 0.0472 0.1428 O
0.5263 0.9710 0.6411 O
0.5296 0.5296 0.6439 O
0.6679 0.1835 0.8972 O
0.6784 0.6784 0.8867 O
0.8403 0.8403 0.3966 O
0.8433 0.3468 0.3958 O
0.9710 0.5263 0.6411 O
```

***

Structure and theoretical powder diffraction line list of Li4Nb2Fe3Cu3O16 (the GGA+U geometry in the Materials Project; Cu Kα (weighted mean of Kα1 and Kα2)).
No peak broadening, texture or thermal motion is included.

Peak list (10 most intense, 2θ from 15° to 90°, low angle first)
2theta  I_rel
18.23  30.2
19.46  100.0
19.56  23.0
25.09  20.4
25.22  18.9
32.53  28.5
35.26  32.8
35.45  20.8
35.98  29.7
62.42  25.6

Structural model:
```
Li4Nb2Fe3Cu3O16
1.0
5.9472 0.0000 0.0000
2.9639 5.1651 0.0000
0.0480 0.0548 9.7353
Li Nb Fe Cu O
4 2 3 3 16
direct
0.0000 0.0000 0.0000 Li
0.0008 0.0017 0.5016 Li
0.3233 0.3224 0.9104 Li
0.6579 0.6592 0.4149 Li
0.3268 0.3296 0.5063 Nb
0.6647 0.6634 0.0059 Nb
0.1678 0.6532 0.2281 Fe
0.6537 0.1669 0.2284 Fe
0.8237 0.8246 0.7251 Fe
0.1662 0.1671 0.2255 Cu
0.3351 0.8238 0.7257 Cu
0.8238 0.3350 0.7256 Cu
0.0007 0.9987 0.3127 O
0.0312 0.4830 0.3576 O
0.1583 0.6624 0.6004 O
0.1639 0.1629 0.6027 O
0.3254 0.3258 0.1206 O
0.3308 0.8146 0.0965 O
0.4782 0.0328 0.3559 O
0.4791 0.4769 0.3521 O
0.5137 0.5126 0.8514 O
0.5148 0.9562 0.8535 O
0.6580 0.6581 0.6219 O
0.6620 0.1577 0.5997 O
0.8207 0.3287 0.0980 O
0.8275 0.8277 0.1032 O
0.9567 0.5142 0.8533 O
0.9963 0.9962 0.8133 O
```

***

Structure and theoretical powder diffraction line list of Li4Nb2Fe3Cu3O16 (the GGA+U geometry in the Materials Project; Cu Kα (weighted mean of Kα1 and Kα2)).
No peak broadening, texture or thermal motion is included.

Peak list (10 most intense, 2θ from 15° to 90°, low angle first)
2theta  I_rel
18.15  69.7
18.99  37.5
19.33  93.3
19.60  100.0
19.77  49.2
34.58  51.8
35.32  55.2
35.59  43.3
35.90  72.7
36.09  40.3

Structural model:
```
Li4Nb2Fe3Cu3O16
1.0
5.9186 0.0000 0.0000
2.9241 5.2090 0.0000
0.0823 0.4008 9.7762
Li Nb Fe Cu O
4 2 3 3 16
direct
0.0000 0.0000 0.0000 Li
0.0045 0.9895 0.5025 Li
0.3268 0.3400 0.5869 Li
0.6533 0.6941 0.0880 Li
0.3338 0.3456 0.9970 Nb
0.6649 0.6506 0.4944 Nb
0.1664 0.1802 0.2728 Fe
0.6577 0.1746 0.2757 Fe
0.8268 0.3507 0.7750 Fe
0.1660 0.6662 0.2759 Cu
0.3358 0.8364 0.7789 Cu
0.8251 0.8406 0.7736 Cu
0.0156 0.0078 0.6908 O
0.0304 0.5042 0.1466 O
0.1264 0.2276 0.9144 O
0.1744 0.6901 0.8940 O
0.3300 0.3376 0.3818 O
0.3328 0.8453 0.4014 O
0.4744 0.4989 0.1477 O
0.4770 0.0526 0.1463 O
0.5011 0.9608 0.6558 O
0.5516 0.4776 0.6325 O
0.6469 0.6810 0.8763 O
0.6600 0.1764 0.8979 O
0.8259 0.8443 0.4027 O
0.8367 0.3399 0.3921 O
0.9593 0.5408 0.6491 O
0.9978 0.0098 0.1855 O
```

***

Structure and theoretical powder diffraction line list of Li3Fe3CuO8 (the GGA+U geometry in the Materials Project; Cu Kα (weighted mean of Kα1 and Kα2)).
No peak broadening, texture or thermal motion is included.

Peak list (10 most intense, 2θ from 15° to 90°, low angle first)
2theta  I_rel
18.12  100.0
35.56  41.8
37.16  12.7
43.04  70.2
47.05  14.2
56.69  14.5
62.19  19.0
62.80  19.4
65.95  14.6
79.17  8.7

Structural model:
```
Li3Fe3CuO8
1.0
2.9592 1.7085 4.8964
-2.9592 1.7085 4.8964
0.0000 -3.4170 4.8964
Li Fe Cu O
3 3 1 8
direct
0.0000 0.5000 0.5000 Li
0.5000 0.0000 0.5000 Li
0.5000 0.5000 0.0000 Li
0.0000 0.0000 0.5000 Fe
0.0000 0.5000 0.0000 Fe
0.5000 0.0000 0.0000 Fe
0.5000 0.5000 0.5000 Cu
0.2423 0.2423 0.2423 O
0.2470 0.7384 0.7384 O
0.2616 0.2616 0.7530 O
0.2616 0.7530 0.2616 O
0.7384 0.2470 0.7384 O
0.7384 0.7384 0.2470 O
0.7530 0.2616 0.2616 O
0.7577 0.7577 0.7577 O
```